Entry 1:
Diffraction record for Nb9Fe3Ge2. The X-ray diffraction stick pattern is calculated, not measured: it uses a structure optimized by DFT (GGA-PBE) and CuKα.
Intensities are scaled so that the largest is 1000.

Top 10 peaks for 2θ = 10–80°, by angle:
two_theta	intensity
35.45	749
37.64	809
37.87	874
40.04	634
40.24	1000
40.36	320
42.23	619
42.44	547
44.74	464
66.57	303

Lattice parameters (Å, degrees): 13.5041 9.9150 9.8425 86.23 47.11 46.66
Atoms (fractional coordinates):
1 Nb 0.0669 0.2065 0.7935
2 Nb 0.0907 0.6696 0.3304
3 Nb 0.1681 0.4106 0.5894
4 Nb 0.2065 0.0669 0.9331
5 Nb 0.2438 0.7562 0.7562
6 Nb 0.2953 0.5687 0.4313
7 Nb 0.3304 0.9093 0.0907
8 Nb 0.4106 0.1681 0.8319
9 Nb 0.4313 0.7047 0.2953
10 Nb 0.5687 0.2953 0.7047
11 Nb 0.5894 0.8319 0.1681
12 Nb 0.6696 0.0907 0.9093
13 Nb 0.7047 0.4313 0.5687
14 Nb 0.7562 0.2438 0.2438
15 Nb 0.7935 0.9331 0.0669
16 Nb 0.8319 0.5894 0.4106
17 Nb 0.9093 0.3304 0.6696
18 Nb 0.9331 0.7935 0.2065
19 Fe 0.0000 0.0000 0.5000
20 Fe 0.0000 0.5000 0.0000
21 Fe 0.1344 0.8656 0.1344
22 Fe 0.5000 0.0000 0.5000
23 Fe 0.5000 0.5000 0.0000
24 Fe 0.8656 0.1344 0.8656
25 Ge 0.0000 0.5000 0.5000
26 Ge 0.3696 0.3696 0.6304
27 Ge 0.5000 0.0000 0.0000
28 Ge 0.6304 0.6304 0.3696


Entry 2:
Diffraction record for Nd2FeGe4. The X-ray diffraction stick pattern is calculated, not measured: it uses a structure optimized by DFT (GGA-PBE) and CuKα.
Intensities are scaled so that the largest is 1000.

Top 10 peaks for 2θ = 10–80°, by angle:
two_theta	intensity
23.72	113
33.37	149
34.06	1000
34.78	202
39.74	183
41.97	220
42.67	210
61.40	140
71.61	163
72.58	175

Lattice parameters (Å, degrees): 4.2375 8.3385 8.3385 29.92 90.00 90.00
Atoms (fractional coordinates):
1 Nd 0.0000 0.0000 0.0000
2 Nd 0.5000 0.2067 0.2067
3 Fe 0.0000 0.7982 0.7982
4 Ge 0.0000 0.3586 0.3586
5 Ge 0.0000 0.6523 0.6523
6 Ge 0.5000 0.5481 0.5481
7 Ge 0.5000 0.8575 0.8575